Entry 1:
Diffraction record for Cs2RbHgF6. The powder X-ray diffraction pattern is calculated, not measured: it uses a crystal structure in OQMD, relaxed with PBE and copper Kα.

Most intense lines, 2θ = 10–80°, in order of rising 2θ:
| hkl | 2theta | intensity |
| --- | --- | --- |
| 1 0 1 | 16.65 | 125 |
| 2 0 0 | 27.35 | 1000 |
| 0 0 4 | 38.88 | 111 |
| 2 2 0 | 39.17 | 216 |
| 2 0 4 | 48.23 | 142 |
| 3 1 2 | 48.41 | 280 |
| 2 2 4 | 56.37 | 141 |
| 4 0 0 | 56.59 | 70 |
| 4 2 0 | 63.98 | 128 |
| 3 1 6 | 77.25 | 76 |
| 4 2 4 | 77.48 | 75 |
| 1 5 2 | 77.62 | 74 |

Atomic structure:
Unit cell a=6.506 b=6.506 c=9.265 alpha=90.00 beta=90.00 gamma=90.00
Space group I4/m (No. 87)
Symmetry-distinct sites (fractional):
Cs  0.000  0.500  0.250 x4
Rb  0.000  0.000  0.000 x2
Hg  0.000  0.000  0.500 x2
F  0.000  0.000  0.266 x4
F  0.226  0.759  0.500 x8

Entry 2:
Diffraction record for TbHfAl2Au4. The powder X-ray diffraction pattern is calculated, not measured: it uses a crystal structure in OQMD, relaxed with PBE and copper Kα.

Most intense lines, 2θ = 10–80°, in order of rising 2θ:
| hkl | 2theta | intensity |
| --- | --- | --- |
| 1 0 0 | 22.67 | 512 |
| 1 0 1 | 24.86 | 12 |
| 1 0 3 | 38.37 | 1000 |
| 1 1 0 | 39.81 | 663 |
| 2 0 0 | 46.29 | 81 |
| 2 0 3 | 56.48 | 329 |
| 2 1 0 | 62.67 | 66 |
| 0 0 6 | 63.58 | 57 |
| 1 0 6 | 68.42 | 57 |
| 2 1 3 | 71.31 | 332 |
| 3 0 0 | 72.26 | 118 |
| 1 1 6 | 77.69 | 182 |

Atomic structure:
Unit cell a=4.5292 b=4.5292 c=8.7807 alpha=90.00 beta=90.00 gamma=120.00
Space group P-6m2 (No. 187)
Symmetry-distinct sites (fractional):
Tb  0.0000  0.0000  0.0000 x1
Hf  0.6667  0.3333  0.5000 x1
Al  0.3333  0.6667  0.3008 x2
Au  0.0000  0.0000  0.3393 x2
Au  0.6667  0.3333  0.1682 x2

Entry 3:
Diffraction record for SrGdCuSeS2. The powder X-ray diffraction pattern is calculated, not measured: it uses a crystal structure in OQMD, relaxed with PBE and copper Kα.

Most intense lines, 2θ = 10–80°, in order of rising 2θ:
| hkl | 2theta | intensity |
| --- | --- | --- |
| 0 0 2 | 13.39 | 468 |
| 2 0 2 | 21.79 | 359 |
| 0 0 4 | 26.97 | 193 |
| 2 1 1 | 28.94 | 435 |
| 0 1 3 | 30.12 | 371 |
| 1 1 3 | 31.34 | 543 |
| 4 0 0 | 34.61 | 242 |
| 2 1 3 | 34.86 | 1000 |
| 4 0 4 | 44.41 | 248 |
| 2 0 6 | 44.62 | 570 |
| 0 2 0 | 45.19 | 287 |
| 6 1 1 | 58.59 | 181 |

Atomic structure:
Unit cell a=10.367 b=4.013 c=13.226 alpha=90.00 beta=90.00 gamma=90.00
Space group Pnma (No. 62)
Symmetry-distinct sites (fractional):
Sr  0.226  0.250  0.005 x4
Gd  0.011  0.750  0.252 x4
Cu  0.237  0.750  0.776 x4
Se  0.082  0.250  0.397 x4
S  0.057  0.750  0.884 x4
S  0.241  0.250  0.675 x4